# 1
Starting from DFT lattice parameters and positions (GGA-PBE), the powder diffractogram of Mg7Tl4Pb was computed for Cu Ka.

Most intense lines, 5° ≤ 2θ ≤ 70°, in order of rising 2θ:
2θ/deg  Rel. int.
5.9  30
14.9  62
20.9  28
30.2  38
31.4  32
32.4  100
36.2  24
38.7  62
53.3  24
66.2  25

Atomic structure:
```
12
Lattice="3.4352 0.0000 0.0000 -1.7176 2.9750 0.0000 0.0000 0.0000 29.7748" Properties=species:S:1:pos:R:3 pbc="T T T"
Mg 0.0000 0.0000 0.0000
Mg 0.0000 0.0000 7.4568
Mg 0.0000 0.0000 22.3180
Mg 0.0000 1.9833 4.9453
Mg 0.0000 1.9833 12.3625
Mg 1.7176 0.9917 17.4123
Mg 1.7176 0.9917 24.8295
Tl 0.0000 1.9833 19.8670
Tl 0.0000 1.9833 27.3096
Tl 1.7176 0.9917 2.4652
Tl 1.7176 0.9917 9.9078
Pb 0.0000 0.0000 14.8874
```

=====

# 2
Starting from DFT lattice parameters and positions (GGA-PBE), the powder diffractogram of Tm2CdIn3 was computed for Cu Ka.

Most intense lines, 5° ≤ 2θ ≤ 70°, in order of rising 2θ:
2θ/deg  Rel. int.
20.7  5
25.8  2
33.2  100
36.2  79
45.0  2
50.0  31
52.9  9
63.3  31
65.1  14
65.8  27

Atomic structure:
```
12
Lattice="0.0000 4.9563 8.6000 3.4596 0.0000 8.6000 3.4596 4.9563 0.0000" Properties=species:S:1:pos:R:3 pbc="T T T"
Tm 1.7298 2.4782 4.3000
Tm 5.1879 4.9563 8.6000
Tm 1.7314 4.9563 8.6000
Tm 5.1894 7.4345 12.9000
Cd 3.4596 4.9563 2.8673
Cd 3.4596 4.9563 14.3328
In 3.4596 2.4593 7.1541
In 3.4596 4.9563 5.7023
In 3.4596 2.4593 10.0459
In 3.4596 7.4533 7.1541
In 3.4596 4.9563 11.4978
In 3.4596 7.4533 10.0459
```